CeTc4C: theoretical powder diffraction line list (λ = 1.5418 Å (Cu Kα)), based on a cell relaxed with PBE.
Neutral-atom scattering factors, no anomalous dispersion.

Largest 12 diffraction maxima, in order of rising 2θ, 10° ≤ 2θ ≤ 80°:
19.9°, I 12
28.3°, I 22
32.5°, I 12
36.1°, I 34
38.7°, I 44
39.3°, I 100
40.3°, I 53
45.5°, I 63
57.1°, I 28
65.9°, I 14
72.6°, I 16
77.0°, I 12

Structural model:
a = 5.790 Å, b = 4.472 Å, c = 6.981 Å
α = 90.00°, β = 90.00°, γ = 90.00°
Fractional positions:
Ce 0.250 0.000 0.127
Ce 0.750 0.000 0.873
Tc 0.000 0.000 0.500
Tc 0.030 0.500 0.808
Tc 0.250 0.500 0.480
Tc 0.470 0.500 0.808
Tc 0.500 0.000 0.500
Tc 0.530 0.500 0.192
Tc 0.750 0.500 0.520
Tc 0.970 0.500 0.192
C 0.250 0.000 0.743
C 0.750 0.000 0.257



CeTh2TcC2: theoretical powder diffraction line list (λ = 1.5418 Å (Cu Kα)), based on a cell relaxed with PBE.
Neutral-atom scattering factors, no anomalous dispersion.

Largest 12 diffraction maxima, in order of rising 2θ, 10° ≤ 2θ ≤ 80°:
28.3°, I 22
29.9°, I 31
32.2°, I 13
32.5°, I 100
34.0°, I 10
43.4°, I 9
44.5°, I 11
47.5°, I 11
48.6°, I 12
54.7°, I 17
57.2°, I 16
58.1°, I 12

Structural model:
a = 5.976 Å, b = 11.131 Å, c = 3.748 Å
α = 90.00°, β = 90.00°, γ = 90.00°
Fractional positions:
Ce 0.000 0.000 0.000
Ce 0.500 0.500 0.500
Th 0.039 0.292 0.500
Th 0.461 0.792 0.000
Th 0.539 0.208 0.000
Th 0.961 0.708 0.500
Tc 0.000 0.500 0.000
Tc 0.500 0.000 0.500
C 0.219 0.890 0.500
C 0.281 0.390 0.000
C 0.719 0.610 0.000
C 0.781 0.110 0.500



Ce4TeC: theoretical powder diffraction line list (λ = 1.5418 Å (Cu Kα)), based on a cell relaxed with PBE.
Neutral-atom scattering factors, no anomalous dispersion.

Largest 12 diffraction maxima, in order of rising 2θ, 10° ≤ 2θ ≤ 80°:
28.4°, I 24
29.0°, I 72
29.3°, I 54
30.8°, I 28
32.1°, I 97
32.7°, I 42
33.0°, I 100
33.9°, I 30
35.3°, I 23
38.6°, I 66
41.1°, I 24
54.2°, I 28

Structural model:
a = 8.419 Å, b = 8.419 Å, c = 6.255 Å
α = 101.86°, β = 101.86°, γ = 43.79°
Fractional positions:
Ce 0.102 0.713 0.685
Ce 0.179 0.397 0.165
Ce 0.287 0.898 0.815
Ce 0.397 0.179 0.665
Ce 0.603 0.821 0.335
Ce 0.713 0.102 0.185
Ce 0.821 0.603 0.835
Ce 0.898 0.287 0.315
Te 0.281 0.719 0.250
Te 0.719 0.281 0.750
C 0.000 0.500 0.500
C 0.500 0.000 0.000



Ce5Te3C: theoretical powder diffraction line list (λ = 1.5418 Å (Cu Kα)), based on a cell relaxed with PBE.
Neutral-atom scattering factors, no anomalous dispersion.

Largest 12 diffraction maxima, in order of rising 2θ, 10° ≤ 2θ ≤ 80°:
28.2°, I 15
29.6°, I 32
30.4°, I 18
32.9°, I 100
33.7°, I 28
34.4°, I 59
41.7°, I 17
48.9°, I 19
52.5°, I 12
53.0°, I 26
62.2°, I 9
65.5°, I 23

Structural model:
a = 9.217 Å, b = 9.217 Å, c = 6.325 Å
α = 90.00°, β = 90.00°, γ = 120.00°
Fractional positions:
Ce 0.000 0.221 0.250
Ce 0.000 0.779 0.750
Ce 0.221 0.000 0.250
Ce 0.221 0.221 0.750
Ce 0.333 0.667 0.000
Ce 0.333 0.667 0.500
Ce 0.667 0.333 0.000
Ce 0.667 0.333 0.500
Ce 0.779 0.000 0.750
Ce 0.779 0.779 0.250
Te 0.000 0.394 0.750
Te 0.000 0.606 0.250
Te 0.394 0.000 0.750
Te 0.394 0.394 0.250
Te 0.606 0.000 0.250
Te 0.606 0.606 0.750
C 0.000 0.000 0.000
C 0.000 0.000 0.500



CeThC: theoretical powder diffraction line list (λ = 1.5418 Å (Cu Kα)), based on a cell relaxed with PBE.
Neutral-atom scattering factors, no anomalous dispersion.

Largest 12 diffraction maxima, in order of rising 2θ, 10° ≤ 2θ ≤ 80°:
11.8°, I 26
29.2°, I 100
30.1°, I 96
33.7°, I 41
34.7°, I 72
49.1°, I 54
57.5°, I 16
58.0°, I 16
58.4°, I 26
60.0°, I 27
60.6°, I 13
62.6°, I 14

Structural model:
a = 3.574 Å, b = 5.326 Å, c = 7.470 Å
α = 90.00°, β = 90.00°, γ = 90.00°
Fractional positions:
Ce 0.250 0.250 0.149
Ce 0.750 0.750 0.851
Th 0.250 0.250 0.620
Th 0.750 0.750 0.380
C 0.250 0.750 0.625
C 0.750 0.250 0.375



CeThC3: theoretical powder diffraction line list (λ = 1.5418 Å (Cu Kα)), based on a cell relaxed with PBE.
Neutral-atom scattering factors, no anomalous dispersion.

Largest 12 diffraction maxima, in order of rising 2θ, 10° ≤ 2θ ≤ 80°:
12.1°, I 16
24.3°, I 27
26.9°, I 36
27.8°, I 14
31.5°, I 100
36.5°, I 27
38.1°, I 19
46.1°, I 9
47.5°, I 11
50.5°, I 29
65.7°, I 9
78.3°, I 10

Structural model:
a = 6.628 Å, b = 3.481 Å, c = 7.333 Å
α = 90.00°, β = 90.00°, γ = 90.00°
Fractional positions:
Ce 0.250 0.000 0.243
Ce 0.750 0.000 0.757
Th 0.250 0.500 0.820
Th 0.750 0.500 0.180
C 0.000 0.000 0.000
C 0.056 0.000 0.573
C 0.444 0.000 0.573
C 0.500 0.000 0.000
C 0.556 0.000 0.427
C 0.944 0.000 0.427



Ce2Th5C4: theoretical powder diffraction line list (λ = 1.5418 Å (Cu Kα)), based on a cell relaxed with PBE.
Neutral-atom scattering factors, no anomalous dispersion.

Largest 12 diffraction maxima, in order of rising 2θ, 10° ≤ 2θ ≤ 80°:
14.6°, I 18
22.9°, I 32
28.4°, I 34
29.2°, I 100
29.3°, I 20
30.9°, I 27
31.9°, I 28
32.4°, I 50
40.1°, I 36
47.2°, I 18
48.7°, I 16
60.6°, I 17

Structural model:
a = 8.863 Å, b = 8.863 Å, c = 8.816 Å
α = 91.77°, β = 91.77°, γ = 23.43°
Fractional positions:
Ce 0.038 0.038 0.138
Ce 0.962 0.962 0.862
Th 0.000 0.000 0.500
Th 0.310 0.310 0.681
Th 0.331 0.331 0.094
Th 0.669 0.669 0.906
Th 0.690 0.690 0.319
C 0.186 0.186 0.114
C 0.446 0.446 0.666
C 0.554 0.554 0.334
C 0.814 0.814 0.886



CeThC: theoretical powder diffraction line list (λ = 1.5418 Å (Cu Kα)), based on a cell relaxed with PBE.
Neutral-atom scattering factors, no anomalous dispersion.

Largest 12 diffraction maxima, in order of rising 2θ, 10° ≤ 2θ ≤ 80°:
13.8°, I 13
27.9°, I 27
28.6°, I 23
31.9°, I 100
40.4°, I 26
50.7°, I 20
51.9°, I 24
58.8°, I 21
61.1°, I 16
65.6°, I 7
66.7°, I 6
75.5°, I 8

Structural model:
a = 3.604 Å, b = 3.604 Å, c = 6.401 Å
α = 90.00°, β = 90.00°, γ = 120.00°
Fractional positions:
Ce 0.000 0.000 0.000
Th 0.333 0.667 0.451
C 0.667 0.333 0.222



Ce3ThC8: theoretical powder diffraction line list (λ = 1.5418 Å (Cu Kα)), based on a cell relaxed with PBE.
Neutral-atom scattering factors, no anomalous dispersion.

Largest 12 diffraction maxima, in order of rising 2θ, 10° ≤ 2θ ≤ 80°:
25.7°, I 55
28.8°, I 100
36.7°, I 32
45.3°, I 8
47.3°, I 57
52.8°, I 31
59.7°, I 19
72.1°, I 7
73.5°, I 7
73.7°, I 14
78.0°, I 9
78.1°, I 7

Structural model:
a = 6.329 Å, b = 6.320 Å, c = 6.923 Å
α = 56.88°, β = 56.76°, γ = 66.37°
Fractional positions:
Ce 0.000 0.000 0.000
Ce 0.250 0.250 0.250
Ce 0.750 0.750 0.750
Th 0.501 0.501 0.499
C 0.090 0.414 0.910
C 0.116 0.628 0.884
C 0.371 0.886 0.114
C 0.414 0.090 0.586
C 0.584 0.909 0.091
C 0.628 0.116 0.372
C 0.886 0.371 0.629
C 0.909 0.584 0.416



CeTmC: theoretical powder diffraction line list (λ = 1.5418 Å (Cu Kα)), based on a cell relaxed with PBE.
Neutral-atom scattering factors, no anomalous dispersion.

Largest 12 diffraction maxima, in order of rising 2θ, 10° ≤ 2θ ≤ 80°:
14.0°, I 12
28.1°, I 26
29.3°, I 20
32.6°, I 100
41.1°, I 27
52.0°, I 20
52.7°, I 22
60.2°, I 19
62.8°, I 15
66.5°, I 9
68.4°, I 6
77.2°, I 7

Structural model:
a = 3.515 Å, b = 3.515 Å, c = 6.343 Å
α = 90.00°, β = 90.00°, γ = 120.00°
Fractional positions:
Ce 0.000 0.000 0.000
Tm 0.333 0.667 0.435
C 0.667 0.333 0.224



Ce2WC2: theoretical powder diffraction line list (λ = 1.5418 Å (Cu Kα)), based on a cell relaxed with PBE.
Neutral-atom scattering factors, no anomalous dispersion.

Largest 12 diffraction maxima, in order of rising 2θ, 10° ≤ 2θ ≤ 80°:
30.2°, I 31
31.6°, I 34
34.1°, I 100
35.4°, I 64
44.2°, I 12
51.0°, I 8
52.7°, I 24
55.4°, I 35
62.7°, I 9
65.1°, I 37
68.2°, I 16
70.5°, I 8

Structural model:
a = 5.667 Å, b = 5.667 Å, c = 10.427 Å
α = 90.00°, β = 90.00°, γ = 90.00°
Fractional positions:
Ce 0.183 0.183 0.155
Ce 0.183 0.183 0.845
Ce 0.317 0.683 0.345
Ce 0.317 0.683 0.655
Ce 0.683 0.317 0.345
Ce 0.683 0.317 0.655
Ce 0.817 0.817 0.155
Ce 0.817 0.817 0.845
W 0.180 0.180 0.500
W 0.320 0.680 0.000
W 0.680 0.320 0.000
W 0.820 0.820 0.500
C 0.000 0.000 0.355
C 0.000 0.000 0.645
C 0.000 0.500 0.000
C 0.000 0.500 0.500
C 0.500 0.000 0.000
C 0.500 0.000 0.500
C 0.500 0.500 0.145
C 0.500 0.500 0.855



CeY2C2: theoretical powder diffraction line list (λ = 1.5418 Å (Cu Kα)), based on a cell relaxed with PBE.
Neutral-atom scattering factors, no anomalous dispersion.

Largest 12 diffraction maxima, in order of rising 2θ, 10° ≤ 2θ ≤ 80°:
21.7°, I 7
30.2°, I 100
34.9°, I 44
35.2°, I 22
50.1°, I 8
50.3°, I 7
50.4°, I 30
59.7°, I 14
59.8°, I 13
60.1°, I 14
62.7°, I 8
62.9°, I 7

Structural model:
a = 6.294 Å, b = 6.294 Å, c = 7.261 Å
α = 106.78°, β = 106.78°, γ = 47.74°
Fractional positions:
Ce 0.161 0.161 0.090
Ce 0.839 0.839 0.910
Y 0.164 0.164 0.571
Y 0.498 0.498 0.269
Y 0.502 0.502 0.731
Y 0.836 0.836 0.429
C 0.005 0.005 0.232
C 0.328 0.328 0.400
C 0.672 0.672 0.600
C 0.995 0.995 0.768